Calculated powder diffraction line list of Er6Bi3B for CuKα, from a DFT-relaxed cell (PBE, Alexandria).
No peak broadening, texture or thermal motion is included.

Atomic structure:
Unit cell a=6.455 b=8.215 c=12.360 alpha=90.00 beta=121.09 gamma=90.00
Positions (direct):
Er  0.068  0.215  0.445
Er  0.068  0.285  0.945
Er  0.285  0.651  0.446
Er  0.285  0.849  0.946
Er  0.351  0.040  0.223
Er  0.351  0.460  0.723
Er  0.649  0.540  0.277
Er  0.649  0.960  0.777
Er  0.715  0.151  0.054
Er  0.715  0.349  0.554
Er  0.932  0.715  0.055
Er  0.932  0.785  0.555
Bi  0.159  0.110  0.740
Bi  0.159  0.390  0.240
Bi  0.500  0.000  0.500
Bi  0.500  0.500  0.000
Bi  0.841  0.610  0.760
Bi  0.841  0.890  0.260
B  0.000  0.000  0.000
B  0.000  0.500  0.500

Main lines, low angle first (10 to 80 degrees two-theta):
Position (°2θ)  d (Å)  I (rel.)  index
27.0  3.297  30  1 2 0
27.5  3.244  22  0 2 2
28.9  3.087  25  1 0 -4
30.8  2.904  50  1 2 1
30.9  2.894  100  2 1 -1
33.9  2.647  29  0 0 4
35.6  2.521  35  1 3 -1
36.7  2.451  26  1 3 -2